Entry 1:
Calculated PXRD pattern
Compound: Th3ZnIr8
Radiation: Cu Kα
Structure: a DFT-relaxed cell (PBE, Alexandria)

Top 6 peaks for 2θ = 10–90°, low angle first:
| (hkl) | two_theta | d_spacing | I_rel |
| --- | --- | --- | --- |
| 1 1 0 | 33.12 | 2.705 | 25 |
| 2 0 2 | 39.05 | 2.307 | 100 |
| 0 2 4 | 40.86 | 2.209 | 43 |
| 3 0 6 | 63.14 | 1.473 | 30 |
| 2 2 0 | 69.44 | 1.354 | 15 |
| 4 0 4 | 83.85 | 1.154 | 12 |

Cell and atoms:
abc: 5.4144 5.4144 26.4573
angles: 90.00 90.00 120.00
Space group R3m (No. 160, hexagonal axes)
Asymmetric unit:
Th 0.0000 0.0000 0.0000 x3
Th 0.0000 0.0000 0.1299 x3
Th 0.0000 0.0000 0.5177 x3
Zn 0.0000 0.0000 0.6446 x3
Ir 0.0000 0.0000 0.3179 x3
Ir 0.0000 0.0000 0.8184 x3
Ir 0.0000 0.5000 0.0683 x9
Ir 0.1679 0.3357 0.9021 x9

***

Entry 2:
Calculated PXRD pattern
Compound: ThZrIr
Radiation: Cu Kα
Structure: a DFT-relaxed cell (PBE, Alexandria)

Top 6 peaks for 2θ = 10–90°, low angle first:
| (hkl) | two_theta | d_spacing | I_rel |
| --- | --- | --- | --- |
| 2 3 1 | 31.85 | 2.809 | 86 |
| 2 0 2 | 32.60 | 2.747 | 22 |
| 2 4 0 | 34.22 | 2.620 | 48 |
| 2 2 2 | 35.16 | 2.553 | 100 |
| 0 1 3 | 36.35 | 2.472 | 27 |
| 4 0 0 | 45.18 | 2.007 | 30 |

Cell and atoms:
abc: 8.028 13.833 7.536
angles: 90.00 90.00 90.00
Space group Ima2 (No. 46)
Asymmetric unit:
Th 0.250 0.012 0.000 x4
Th 0.250 0.212 0.355 x4
Th 0.250 0.700 0.854 x4
Zr 0.000 0.000 0.352 x4
Zr 0.027 0.625 0.192 x8
Ir 0.006 0.661 0.560 x8
Ir 0.250 0.024 0.609 x4

***

Entry 3:
Calculated PXRD pattern
Compound: Ti3Ir8
Radiation: Cu Kα
Structure: a DFT-relaxed cell (PBE, Alexandria)

Top 6 peaks for 2θ = 10–90°, low angle first:
| (hkl) | two_theta | d_spacing | I_rel |
| --- | --- | --- | --- |
| 1 1 1 | 25.04 | 3.557 | 100 |
| -1 1 2 | 40.63 | 2.221 | 61 |
| 1 1 3 | 40.75 | 2.214 | 59 |
| 1 2 -1 | 43.22 | 2.093 | 88 |
| 1 -1 3 | 43.39 | 2.085 | 93 |
| 0 3 1 | 48.35 | 1.882 | 65 |

Cell and atoms:
abc: 4.647 5.756 7.116
angles: 84.81 71.53 89.07
Space group P-1 (No. 2)
Asymmetric unit:
Ti 0.000 0.000 0.000 x1
Ti 0.000 0.500 0.500 x1
Ti 0.500 0.000 0.500 x1
Ir 0.081 0.117 0.329 x2
Ir 0.198 0.489 0.085 x2
Ir 0.392 0.586 0.689 x2
Ir 0.467 0.836 0.156 x2

***

Entry 4:
Calculated PXRD pattern
Compound: Ti2VIr
Radiation: Cu Kα
Structure: a DFT-relaxed cell (PBE, Alexandria)

Top 6 peaks for 2θ = 10–90°, low angle first:
| (hkl) | two_theta | d_spacing | I_rel |
| --- | --- | --- | --- |
| 1 0 0 | 20.01 | 4.436 | 54 |
| 1 1 0 | 28.45 | 3.137 | 25 |
| 1 0 1 | 35.91 | 2.501 | 26 |
| 2 0 0 | 40.67 | 2.218 | 53 |
| 1 1 1 | 41.45 | 2.179 | 100 |
| 3 1 1 | 74.55 | 1.273 | 33 |

Cell and atoms:
abc: 4.436 4.436 3.028
angles: 90.00 90.00 90.00
Space group P4/mmm (No. 123)
Asymmetric unit:
Ti 0.000 0.500 0.000 x2
V 0.000 0.000 0.500 x1
Ir 0.500 0.500 0.500 x1

***

Entry 5:
Calculated PXRD pattern
Compound: Ti4VIr2
Radiation: Cu Kα
Structure: a DFT-relaxed cell (PBE, Alexandria)

Top 6 peaks for 2θ = 10–90°, low angle first:
| (hkl) | two_theta | d_spacing | I_rel |
| --- | --- | --- | --- |
| 1 1 0 | 20.27 | 4.381 | 90 |
| 1 1 2 | 36.25 | 2.478 | 43 |
| 2 2 0 | 41.21 | 2.190 | 52 |
| 2 0 2 | 41.88 | 2.157 | 100 |
| 3 1 2 | 56.03 | 1.641 | 25 |
| 4 2 2 | 75.58 | 1.258 | 33 |

Cell and atoms:
abc: 6.196 6.196 6.011
angles: 90.00 90.00 90.00
Space group I4/mmm (No. 139)
Asymmetric unit:
Ti 0.250 0.250 0.250 x8
V 0.000 0.000 0.000 x2
Ir 0.000 0.500 0.000 x4

***

Entry 6:
Calculated PXRD pattern
Compound: TiV2Ir9
Radiation: Cu Kα
Structure: a DFT-relaxed cell (PBE, Alexandria)

Top 6 peaks for 2θ = 10–90°, low angle first:
| (hkl) | two_theta | d_spacing | I_rel |
| --- | --- | --- | --- |
| 1 0 0 | 23.10 | 3.851 | 16 |
| 1 1 0 | 32.89 | 2.723 | 14 |
| 1 1 3 | 40.57 | 2.223 | 100 |
| 2 0 0 | 47.20 | 1.926 | 49 |
| 2 2 0 | 68.97 | 1.362 | 31 |
| 3 1 3 | 83.20 | 1.161 | 38 |

Cell and atoms:
abc: 3.849 3.849 11.563
angles: 90.00 90.00 90.00
Space group P4/mmm (No. 123)
Asymmetric unit:
Ti 0.000 0.000 0.000 x1
V 0.000 0.000 0.332 x2
Ir 0.000 0.500 0.171 x4
Ir 0.000 0.500 0.500 x2
Ir 0.500 0.500 0.000 x1
Ir 0.500 0.500 0.335 x2

***

Entry 7:
Calculated PXRD pattern
Compound: Ti4Ir2W
Radiation: Cu Kα
Structure: a DFT-relaxed cell (PBE, Alexandria)

Top 6 peaks for 2θ = 10–90°, low angle first:
| (hkl) | two_theta | d_spacing | I_rel |
| --- | --- | --- | --- |
| 1 1 0 | 20.12 | 4.413 | 22 |
| 1 0 1 | 20.43 | 4.347 | 36 |
| 2 0 0 | 28.61 | 3.120 | 32 |
| 2 2 0 | 40.90 | 2.206 | 52 |
| 2 0 2 | 41.55 | 2.174 | 100 |
| 4 2 2 | 74.93 | 1.267 | 34 |

Cell and atoms:
abc: 6.241 6.241 6.059
angles: 90.00 90.00 90.00
Space group I4/mmm (No. 139)
Asymmetric unit:
Ti 0.250 0.250 0.250 x8
Ir 0.000 0.500 0.000 x4
W 0.000 0.000 0.000 x2

***

Entry 8:
Calculated PXRD pattern
Compound: Ti4ZnIr3
Radiation: Cu Kα
Structure: a DFT-relaxed cell (PBE, Alexandria)

Top 6 peaks for 2θ = 10–90°, low angle first:
| (hkl) | two_theta | d_spacing | I_rel |
| --- | --- | --- | --- |
| 0 2 0 | 25.46 | 3.498 | 46 |
| 2 0 0 | 30.14 | 2.965 | 31 |
| 2 2 0 | 39.85 | 2.262 | 100 |
| 0 2 4 | 40.22 | 2.242 | 97 |
| 2 0 4 | 43.49 | 2.081 | 77 |
| 2 4 4 | 70.30 | 1.339 | 36 |

Cell and atoms:
abc: 5.931 6.997 11.684
angles: 90.00 90.00 90.00
Space group Fmmm (No. 69)
Asymmetric unit:
Ti 0.250 0.250 0.126 x16
Zn 0.000 0.000 0.000 x4
Ir 0.000 0.000 0.245 x8
Ir 0.000 0.000 0.500 x4